1.
The following is a calculated powder diffraction line list of LiMgSbPd. It was derived from the GGA-PBE geometry in the Materials Project, using a wavelength of 1.5418 Å.
Intensities are scaled so that the largest is 1000.

Atomic structure:
```
LiMgSbPd
1.0
6.561 0.000 0.000
0.000 6.561 0.000
0.000 0.000 6.561
Li Mg Sb Pd
4 4 4 4
Direct
0.000 0.000 0.000 Li
0.000 0.500 0.500 Li
0.500 0.000 0.500 Li
0.500 0.500 0.000 Li
0.250 0.250 0.750 Mg
0.250 0.750 0.250 Mg
0.750 0.250 0.250 Mg
0.750 0.750 0.750 Mg
0.250 0.250 0.250 Sb
0.250 0.750 0.750 Sb
0.750 0.250 0.750 Sb
0.750 0.750 0.250 Sb
0.000 0.000 0.500 Pd
0.000 0.500 0.000 Pd
0.500 0.000 0.000 Pd
0.500 0.500 0.500 Pd
```

Main lines, by intensity (2θ = 15–90°):
2θ/deg, Rel. int.
38.8, 1000
23.5, 728
45.9, 360
70.3, 335
56.1, 168
61.6, 147
88.1, 113
75.3, 109

=====

2.
The following is a calculated powder diffraction line list of LiMgSbPt. It was derived from the GGA-PBE geometry in the Materials Project, using a wavelength of 1.5418 Å.
Intensities are scaled so that the largest is 1000.

Atomic structure:
```
LiMgSbPt
1.0
6.539 0.000 0.000
0.000 6.539 0.000
0.000 0.000 6.539
Li Mg Sb Pt
4 4 4 4
Direct
0.000 0.000 0.000 Li
0.000 0.500 0.500 Li
0.500 0.000 0.500 Li
0.500 0.500 0.000 Li
0.250 0.250 0.750 Mg
0.250 0.750 0.250 Mg
0.750 0.250 0.250 Mg
0.750 0.750 0.750 Mg
0.250 0.250 0.250 Sb
0.250 0.750 0.750 Sb
0.750 0.250 0.750 Sb
0.750 0.750 0.250 Sb
0.000 0.000 0.500 Pt
0.000 0.500 0.000 Pt
0.500 0.000 0.000 Pt
0.500 0.500 0.500 Pt
```

Main lines, by intensity (2θ = 15–90°):
2θ/deg, Rel. int.
39.0, 1000
23.6, 904
46.0, 466
70.6, 347
61.9, 195
56.3, 171
88.5, 154
75.6, 146

=====

3.
The following is a calculated powder diffraction line list of Sr2LiMgSi3. It was derived from the GGA-PBE geometry in the Materials Project, using a wavelength of 1.5418 Å.
Intensities are scaled so that the largest is 1000.

Atomic structure:
```
Sr2LiMgSi3
1.0
2.311 -9.743 0.000
2.311 9.743 0.000
0.000 0.000 7.185
Sr Li Mg Si
4 2 2 6
Direct
0.056 0.944 0.500 Sr
0.154 0.846 0.987 Sr
0.846 0.154 0.487 Sr
0.944 0.056 0.000 Sr
0.310 0.690 0.197 Li
0.690 0.310 0.697 Li
0.309 0.691 0.804 Mg
0.691 0.309 0.304 Mg
0.222 0.778 0.499 Si
0.447 0.553 0.333 Si
0.447 0.553 0.666 Si
0.553 0.447 0.166 Si
0.553 0.447 0.833 Si
0.778 0.222 0.999 Si
```

Main lines, by intensity (2θ = 15–90°):
2θ/deg, Rel. int.
32.5, 1000
31.9, 632
39.0, 320
24.8, 236
42.0, 217
22.0, 202
30.2, 190
19.7, 164